Structure and theoretical powder XRD pattern of ZrScPS (a DFT-relaxed cell (GGA-PBE, Alexandria); Cu Kα X-rays).

Top 6 peaks for 5 to 70 degrees two-theta, by angle:
2θ = 13.67°, I = 280; 2θ = 28.64°, I = 270; 2θ = 29.75°, I = 539; 2θ = 36.67°, I = 1000; 2θ = 43.40°, I = 402; 2θ = 50.02°, I = 457

Structural model:
Unit cell a=3.6468 b=3.6468 c=19.4299 alpha=90.00 beta=90.00 gamma=120.00
Space group R3m (No. 160, hexagonal axes)
Asymmetric unit:
Zr: 0.0000 0.0000 0.0000 (multiplicity 3)
Sc: 0.0000 0.0000 0.1815 (multiplicity 3)
P: 0.0000 0.0000 0.5903 (multiplicity 3)
S: 0.0000 0.0000 0.4223 (multiplicity 3)